Starting from DFT lattice parameters and positions (GGA-PBE), the X-ray powder pattern of Ac2Al2Se5 was calculated for copper Kα.
Lines closer than 0.1° are merged.

Main lines, by intensity (2θ from 5° to 70°):
| two_theta | I_rel | hkl |
| --- | --- | --- |
| 29.7 | 100 | 1 1 -2 |
| 34.7 | 60 | 0 2 0 |
| 14.0 | 56 | 2 0 -1 |
| 24.4 | 55 | 4 0 -1 |
| 33.7 | 53 | 3 1 1 |
| 27.2 | 51 | 4 0 0 |

Cell and atoms:
a = 14.6102 Å, b = 5.1773 Å, c = 7.5606 Å
α = 90.00°, β = 116.20°, γ = 90.00°
Space group C2/m (No. 12)
Asymmetric unit:
Ac1 0.1112 0.0000 0.2910 (multiplicity 4)
Al1 0.1573 0.5000 0.8909 (multiplicity 4)
Se1 0.0000 0.5000 0.0000 (multiplicity 2)
Se2 0.1441 0.0000 0.9081 (multiplicity 4)
Se3 0.1532 0.5000 0.5531 (multiplicity 4)


Starting from DFT lattice parameters and positions (GGA-PBE), the X-ray powder pattern of Mg8NiAg2 was calculated for copper Kα.
Lines closer than 0.1° are merged.

Main lines, by intensity (2θ from 5° to 70°):
| two_theta | I_rel | hkl |
| --- | --- | --- |
| 37.8 | 100 | 1 1 2 |
| 23.2 | 85 | 1 1 -1 |
| 39.1 | 68 | 5 1 -2 |
| 38.4 | 57 | 0 2 0 |
| 27.0 | 53 | 3 1 0 |
| 22.8 | 51 | 2 0 1 |

Cell and atoms:
a = 15.2085 Å, b = 4.6897 Å, c = 6.6291 Å
α = 90.00°, β = 113.19°, γ = 90.00°
Space group C2/m (No. 12)
Asymmetric unit:
Mg1 0.0185 0.0000 0.2825 (multiplicity 4)
Mg2 0.1040 0.5000 0.9203 (multiplicity 4)
Mg3 0.1561 0.5000 0.4226 (multiplicity 4)
Mg4 0.1845 0.0000 0.7449 (multiplicity 4)
Ni1 0.0000 0.5000 0.5000 (multiplicity 2)
Ag1 0.1822 0.0000 0.1731 (multiplicity 4)


Starting from DFT lattice parameters and positions (GGA-PBE), the X-ray powder pattern of Ho2Zn3Pd was calculated for copper Kα.
Lines closer than 0.1° are merged.

Main lines, by intensity (2θ from 5° to 70°):
| two_theta | I_rel | hkl |
| --- | --- | --- |
| 34.5 | 100 | 1 1 1 |
| 40.7 | 55 | 0 2 0 |
| 54.4 | 26 | 1 2 2 |
| 67.8 | 23 | 2 2 0 |
| 23.2 | 15 | 0 1 1 |
| 51.7 | 9 | 2 0 0 |

Cell and atoms:
a = 3.5335 Å, b = 4.4355 Å, c = 7.6836 Å
α = 90.00°, β = 90.00°, γ = 90.00°
Space group Pmm2 (No. 25)
Asymmetric unit:
Ho1 0.0000 0.0000 0.0000 (multiplicity 1)
Ho2 0.0000 0.5000 0.4673 (multiplicity 1)
Zn1 0.5000 0.0000 0.6586 (multiplicity 1)
Zn2 0.5000 0.5000 0.1405 (multiplicity 1)
Zn3 0.5000 0.5000 0.8122 (multiplicity 1)
Pd1 0.5000 0.0000 0.3188 (multiplicity 1)


Starting from DFT lattice parameters and positions (GGA-PBE), the X-ray powder pattern of Zn15Cu4Ni was calculated for copper Kα.
Lines closer than 0.1° are merged.

Main lines, by intensity (2θ from 5° to 70°):
| two_theta | I_rel | hkl |
| --- | --- | --- |
| 41.2 | 100 | 1 1 5 |
| 48.0 | 32 | 2 0 0 |
| 47.8 | 16 | 0 0 10 |

Cell and atoms:
a = 3.7905 Å, b = 3.7905 Å, c = 19.0452 Å
α = 90.00°, β = 90.00°, γ = 90.00°
Space group P4/mmm (No. 123)
Asymmetric unit:
Zn1 0.0000 0.0000 0.0000 (multiplicity 1)
Zn2 0.0000 0.0000 0.1983 (multiplicity 2)
Zn3 0.0000 0.0000 0.3995 (multiplicity 2)
Zn4 0.0000 0.5000 0.0973 (multiplicity 4)
Zn5 0.0000 0.5000 0.2985 (multiplicity 4)
Zn6 0.0000 0.5000 0.5000 (multiplicity 2)
Cu1 0.5000 0.5000 0.1985 (multiplicity 2)
Cu2 0.5000 0.5000 0.3994 (multiplicity 2)
Ni1 0.5000 0.5000 0.0000 (multiplicity 1)


Starting from DFT lattice parameters and positions (GGA-PBE), the X-ray powder pattern of BaTb2O4 was calculated for copper Kα.
Lines closer than 0.1° are merged.

Main lines, by intensity (2θ from 5° to 70°):
| two_theta | I_rel | hkl |
| --- | --- | --- |
| 30.6 | 100 | 1 1 2 |
| 29.3 | 99 | 3 0 2 |
| 29.1 | 47 | 0 0 4 |
| 60.9 | 37 | 3 2 2 |
| 42.8 | 29 | 2 1 4 |
| 52.7 | 21 | 4 1 4 |

Cell and atoms:
a = 10.5397 Å, b = 3.5054 Å, c = 12.2607 Å
α = 90.00°, β = 90.00°, γ = 90.00°
Space group Pnma (No. 62)
Asymmetric unit:
Ba1 0.2470 0.2500 0.1486 (multiplicity 4)
Tb1 0.0745 0.2500 0.3889 (multiplicity 4)
Tb2 0.0774 0.2500 0.8903 (multiplicity 4)
O1 0.0186 0.7500 0.7826 (multiplicity 4)
O2 0.0703 0.2500 0.5743 (multiplicity 4)
O3 0.1159 0.7500 0.0184 (multiplicity 4)
O4 0.2097 0.7500 0.3401 (multiplicity 4)


Starting from DFT lattice parameters and positions (GGA-PBE), the X-ray powder pattern of ZnCoPt6 was calculated for copper Kα.
Lines closer than 0.1° are merged.

Main lines, by intensity (2θ from 5° to 70°):
| two_theta | I_rel | hkl |
| --- | --- | --- |
| 39.9 | 100 | 1 1 2 |
| 46.4 | 49 | 2 0 0 |
| 67.8 | 32 | 2 2 0 |
| 22.7 | 12 | 1 0 0 |
| 32.4 | 10 | 1 1 0 |
| 52.3 | 5 | 2 1 0 |

Cell and atoms:
a = 3.9118 Å, b = 3.9118 Å, c = 7.8202 Å
α = 90.00°, β = 90.00°, γ = 90.00°
Space group P4/mmm (No. 123)
Asymmetric unit:
Zn1 0.0000 0.0000 0.0000 (multiplicity 1)
Co1 0.0000 0.0000 0.5000 (multiplicity 1)
Pt1 0.0000 0.5000 0.2544 (multiplicity 4)
Pt2 0.5000 0.5000 0.0000 (multiplicity 1)
Pt3 0.5000 0.5000 0.5000 (multiplicity 1)


Starting from DFT lattice parameters and positions (GGA-PBE), the X-ray powder pattern of PdBr2Cl was calculated for copper Kα.
Lines closer than 0.1° are merged.

Main lines, by intensity (2θ from 5° to 70°):
| two_theta | I_rel | hkl |
| --- | --- | --- |
| 16.6 | 100 | 0 1 1 |
| 31.9 | 81 | 1 1 3 |
| 41.0 | 43 | 1 2 3 |
| 25.8 | 31 | 1 1 2 |
| 30.8 | 31 | 2 1 0 |
| 48.6 | 29 | 3 0 3 |

Cell and atoms:
a = 6.5874 Å, b = 6.1598 Å, c = 10.7546 Å
α = 90.00°, β = 90.00°, γ = 90.00°
Space group Pnna (No. 52)
Asymmetric unit:
Pd1 0.2500 0.0000 0.0921 (multiplicity 4)
Br1 0.0678 0.2220 0.9185 (multiplicity 8)
Cl1 0.1136 0.2500 0.2500 (multiplicity 4)


Starting from DFT lattice parameters and positions (GGA-PBE), the X-ray powder pattern of Dy3InCo2 was calculated for copper Kα.
Lines closer than 0.1° are merged.

Main lines, by intensity (2θ from 5° to 70°):
| two_theta | I_rel | hkl |
| --- | --- | --- |
| 29.3 | 100 | 1 2 0 |
| 34.0 | 86 | 1 0 2 |
| 35.2 | 75 | 1 1 2 |
| 36.2 | 61 | 0 3 2 |
| 30.2 | 56 | 0 2 2 |
| 38.5 | 47 | 1 2 2 |

Cell and atoms:
a = 3.8111 Å, b = 10.1290 Å, c = 7.2991 Å
α = 90.00°, β = 90.00°, γ = 90.00°
Space group Pmc2_1 (No. 26)
Asymmetric unit:
Dy1 0.0000 0.0434 0.0000 (multiplicity 2)
Dy2 0.5000 0.2726 0.3947 (multiplicity 2)
Dy3 0.5000 0.3300 0.8914 (multiplicity 2)
In1 0.0000 0.4904 0.6345 (multiplicity 2)
Co1 0.0000 0.2111 0.6652 (multiplicity 2)
Co2 0.5000 0.0918 0.7100 (multiplicity 2)


Starting from DFT lattice parameters and positions (GGA-PBE), the X-ray powder pattern of KSc2AgBr8 was calculated for copper Kα.
Lines closer than 0.1° are merged.

Main lines, by intensity (2θ from 5° to 70°):
| two_theta | I_rel | hkl |
| --- | --- | --- |
| 29.3 | 100 | 1 1 -2 |
| 35.3 | 97 | -2 1 2 |
| 27.0 | 74 | 1 -2 0 |
| 16.8 | 55 | 1 -1 0 |
| 44.7 | 45 | 0 3 2 |
| 27.7 | 34 | 1 -1 2 |

Cell and atoms:
a = 6.9155 Å, b = 7.0760 Å, c = 8.1370 Å
α = 90.08°, β = 90.00°, γ = 97.68°
Space group P-1 (No. 2)
Asymmetric unit:
K1 0.0000 0.0000 0.0000 (multiplicity 1)
Sc1 0.5002 0.4998 0.2577 (multiplicity 2)
Ag1 0.0000 0.0000 0.5000 (multiplicity 1)
Br1 0.2777 0.6219 0.4998 (multiplicity 2)
Br2 0.2818 0.1676 0.7273 (multiplicity 2)
Br3 0.2835 0.1671 0.2720 (multiplicity 2)
Br4 0.2896 0.6185 0.0004 (multiplicity 2)


Starting from DFT lattice parameters and positions (GGA-PBE), the X-ray powder pattern of CaPr7Ho3 was calculated for copper Kα.
Lines closer than 0.1° are merged.

Main lines, by intensity (2θ from 5° to 70°):
| two_theta | I_rel | hkl |
| --- | --- | --- |
| 30.1 | 100 | 0 2 1 |
| 35.0 | 66 | 2 0 2 |
| 30.5 | 31 | 0 0 3 |
| 59.8 | 27 | 2 2 3 |
| 50.1 | 24 | 2 2 0 |
| 50.6 | 22 | 0 2 4 |

Cell and atoms:
a = 7.2882 Å, b = 7.2882 Å, c = 8.7879 Å
α = 90.00°, β = 90.00°, γ = 120.00°
Space group P3m1 (No. 156)
Asymmetric unit:
Ca1 0.0000 0.0000 0.0000 (multiplicity 1)
Pr1 0.1693 0.3385 0.3411 (multiplicity 3)
Pr2 0.5010 0.0020 0.9854 (multiplicity 3)
Pr3 0.6667 0.3333 0.3179 (multiplicity 1)
Ho1 0.3375 0.1687 0.6570 (multiplicity 3)


Starting from DFT lattice parameters and positions (GGA-PBE), the X-ray powder pattern of Mn3Cr3B8 was calculated for copper Kα.
Lines closer than 0.1° are merged.

Main lines, by intensity (2θ from 5° to 70°):
| two_theta | I_rel | hkl |
| --- | --- | --- |
| 45.8 | 100 | 1 1 2 |
| 37.0 | 96 | 0 1 3 |
| 46.8 | 65 | 1 0 5 |
| 31.2 | 41 | 1 0 1 |
| 63.2 | 31 | 2 0 0 |
| 42.0 | 29 | 0 0 6 |

Cell and atoms:
a = 2.9412 Å, b = 2.9447 Å, c = 12.9088 Å
α = 90.00°, β = 90.00°, γ = 90.00°
Space group Pmm2 (No. 25)
Asymmetric unit:
Mn1 0.0000 0.0000 0.0000 (multiplicity 1)
Mn2 0.0000 0.5000 0.1861 (multiplicity 1)
Mn3 0.5000 0.5000 0.4996 (multiplicity 1)
Cr1 0.0000 0.5000 0.8149 (multiplicity 1)
Cr2 0.5000 0.0000 0.3144 (multiplicity 1)
Cr3 0.5000 0.0000 0.6863 (multiplicity 1)
B1 0.0000 0.0000 0.4334 (multiplicity 1)
B2 0.0000 0.0000 0.5658 (multiplicity 1)
B3 0.0000 0.5000 0.3585 (multiplicity 1)
B4 0.0000 0.5000 0.6402 (multiplicity 1)
B5 0.5000 0.0000 0.1425 (multiplicity 1)
B6 0.5000 0.0000 0.8610 (multiplicity 1)
B7 0.5000 0.5000 0.0679 (multiplicity 1)
B8 0.5000 0.5000 0.9354 (multiplicity 1)


Starting from DFT lattice parameters and positions (GGA-PBE), the X-ray powder pattern of AcPrTmPu was calculated for copper Kα.
Lines closer than 0.1° are merged.

Main lines, by intensity (2θ from 5° to 70°):
| two_theta | I_rel | hkl |
| --- | --- | --- |
| 30.7 | 100 | 2 2 0 |
| 54.5 | 41 | 4 2 2 |
| 43.9 | 19 | 4 0 0 |
| 63.9 | 13 | 4 4 0 |
| 21.6 | 4 | 2 0 0 |
| 49.5 | 2 | 4 2 0 |

Cell and atoms:
a = 8.2415 Å, b = 8.2415 Å, c = 8.2415 Å
α = 90.00°, β = 90.00°, γ = 90.00°
Space group F-43m (No. 216)
Asymmetric unit:
Ac1 0.0000 0.0000 0.0000 (multiplicity 4)
Pr1 0.2500 0.2500 0.2500 (multiplicity 4)
Tm1 0.2500 0.2500 0.7500 (multiplicity 4)
Pu1 0.0000 0.0000 0.5000 (multiplicity 4)


Starting from DFT lattice parameters and positions (GGA-PBE), the X-ray powder pattern of ErNi6Ge4 was calculated for copper Kα.
Lines closer than 0.1° are merged.

Main lines, by intensity (2θ from 5° to 70°):
| two_theta | I_rel | hkl |
| --- | --- | --- |
| 38.8 | 100 | 2 0 1 |
| 35.6 | 51 | 1 1 1 |
| 40.4 | 43 | 2 1 0 |
| 48.5 | 29 | 0 0 2 |
| 53.7 | 29 | 2 2 0 |
| 47.4 | 26 | 2 1 1 |

Cell and atoms:
a = 6.8222 Å, b = 6.8222 Å, c = 3.7559 Å
α = 90.00°, β = 90.00°, γ = 120.00°
Space group P-6m2 (No. 187)
Asymmetric unit:
Er1 0.0000 0.0000 0.0000 (multiplicity 1)
Ni1 0.2049 0.4097 0.5000 (multiplicity 3)
Ni2 0.5369 0.0737 0.0000 (multiplicity 3)
Ge1 0.3333 0.6667 0.0000 (multiplicity 1)
Ge2 0.3824 0.1912 0.5000 (multiplicity 3)